(1)
The following is a computed PXRD pattern of NaGa11O18. It was derived from a structure optimized by DFT (PBE), using CuKα.
Lines closer than 0.1° are merged.

Peak list (12 most intense, 2θ from 10° to 90°, in order of rising 2θ)
d/Å, I/Imax, (hkl)
7.701, 36, 1 0 -1
3.092, 40, 2 0 1
2.863, 49, 0 0 3
2.613, 64, 3 0 0
2.566, 100, 3 0 -3
2.551, 47, 1 3 -2
2.486, 88, 2 3 -1
2.474, 64, 0 3 2
1.581, 63, 3 3 -5
1.513, 40, 0 6 0
1.494, 46, 0 3 5
1.467, 55, 5 3 -1

Cell and atoms:
a b c (Å): 8.713 9.081 9.547
angles (deg): 90.00 115.88 90.00
Space group P2_1/m (No. 11)
Unique sites:
1 Na 0.019 0.250 0.059 x2
2 Ga 0.003 0.750 0.363 x2
3 Ga 0.013 0.086 0.359 x4
4 Ga 0.289 0.578 0.257 x4
5 Ga 0.322 0.077 0.952 x4
6 Ga 0.330 0.750 0.956 x2
7 Ga 0.350 0.250 0.460 x2
8 Ga 0.369 0.576 0.653 x4
9 O 0.107 0.083 0.767 x4
10 O 0.113 0.750 0.774 x2
11 O 0.136 0.585 0.523 x4
12 O 0.139 0.250 0.509 x2
13 O 0.185 0.750 0.282 x2
14 O 0.207 0.093 0.306 x4
15 O 0.254 0.584 0.050 x4
16 O 0.270 0.250 0.043 x2
17 O 0.420 0.579 0.867 x4
18 O 0.423 0.250 0.887 x2
19 O 0.473 0.092 0.620 x4
20 O 0.473 0.750 0.624 x2

(2)
The following is a computed PXRD pattern of Nd10Se19. It was derived from a structure optimized by DFT (PBE), using CuKα.
Lines closer than 0.1° are merged.

Peak list (12 most intense, 2θ from 10° to 90°, in order of rising 2θ)
d/Å, I/Imax, (hkl)
3.748, 49, 2 1 1
2.949, 46, 2 1 -4
2.851, 32, 0 3 3
2.788, 65, 2 0 -5
2.428, 100, 2 -3 2
2.354, 64, -2 3 3
2.087, 28, 4 0 0
2.082, 29, 0 2 -8
1.683, 18, 0 1 11
1.561, 17, 4 -4 1
1.560, 17, -2 1 11
1.474, 18, 4 2 -8

Cell and atoms:
a b c (Å): 8.350 9.513 18.729
angles (deg): 88.78 89.98 89.99
Space group P-1 (No. 2)
Unique sites:
1 Nd 0.113 0.059 0.200 x2
2 Nd 0.114 0.857 0.404 x2
3 Nd 0.121 0.463 0.803 x2
4 Nd 0.131 0.664 0.609 x2
5 Nd 0.132 0.270 0.000 x2
6 Nd 0.369 0.325 0.394 x2
7 Nd 0.369 0.729 0.994 x2
8 Nd 0.370 0.528 0.194 x2
9 Nd 0.378 0.128 0.593 x2
10 Nd 0.380 0.926 0.796 x2
11 Se 0.112 0.540 0.460 x2
12 Se 0.112 0.960 0.040 x2
13 Se 0.123 0.351 0.276 x2
14 Se 0.124 0.556 0.075 x2
15 Se 0.125 0.151 0.474 x2
16 Se 0.125 0.753 0.877 x2
17 Se 0.131 0.957 0.678 x2
18 Se 0.141 0.748 0.250 x2
19 Se 0.160 0.341 0.658 x2
20 Se 0.162 0.157 0.842 x2
21 Se 0.369 0.244 0.122 x2
22 Se 0.372 0.841 0.524 x2
23 Se 0.375 0.037 0.322 x2
24 Se 0.375 0.850 0.149 x2
25 Se 0.376 0.647 0.351 x2
26 Se 0.380 0.445 0.921 x2
27 Se 0.380 0.639 0.726 x2
28 Se 0.398 0.446 0.555 x2
29 Se 0.399 0.056 0.946 x2

(3)
The following is a computed PXRD pattern of LuInRh2. It was derived from a structure optimized by DFT (PBE), using CuKα.
Lines closer than 0.1° are merged.

Peak list (12 most intense, 2θ from 10° to 90°, in order of rising 2θ)
d/Å, I/Imax, (hkl)
3.796, 3, 1 1 1
3.288, 3, 2 0 0
2.325, 100, 2 2 0
1.983, 2, 3 1 1
1.898, 1, 2 2 2
1.644, 17, 4 0 0
1.509, 1, 3 3 1
1.470, 1, 4 2 0
1.342, 34, 4 2 2
1.162, 11, 4 4 0
1.111, 1, 5 3 1
1.096, 1, 6 0 0

Cell and atoms:
a b c (Å): 6.576 6.576 6.576
angles (deg): 90.00 90.00 90.00
Space group Fm-3m (No. 225)
Unique sites:
1 Lu 0.000 0.000 0.000 x4
2 In 0.000 0.000 0.500 x4
3 Rh 0.250 0.250 0.250 x8